Diffraction record for Sr3Ge8Rh3. The X-ray diffraction stick pattern is theoretical, not measured: it uses a GGA-PBE-relaxed structure and Cu Kα (weighted mean of Kα1 and Kα2).
Peak positions follow from Bragg's law for the DFT cell and can differ from measured ones.

Peak list (10 most intense, 2θ = 15–90°, in order of falling intensity)
Position (°2θ)  I (rel.)
34.3  100
40.7  45
33.1  32
41.4  24
45.2  23
44.2  23
36.2  22
44.8  20
43.3  18
62.2  15

Crystal structure
```
Sr3Ge8Rh3
1.0
-2.216 5.120 6.267
2.216 -5.120 6.267
2.216 5.120 -6.267
Sr Ge Rh
3 8 3
Direct
0.000 0.000 0.000
0.321 0.321 0.000
0.679 0.679 0.000
0.033 0.666 0.367
0.174 0.882 0.291
0.299 0.666 0.633
0.409 0.118 0.291
0.591 0.882 0.709
0.701 0.334 0.367
0.826 0.118 0.709
0.967 0.334 0.633
0.273 0.500 0.773
0.500 0.000 0.500
0.727 0.500 0.227
```